Sb3O7: calculated powder X-ray diffraction pattern (CuKα), based on a crystal structure in Alexandria, relaxed with PBE.

Atomic structure:
```
data_Sb3O7
_chemical_formula_sum 'Sb12 O28'
_symmetry_space_group_name_H-M 'I m m a'
_symmetry_Int_Tables_number 74
_symmetry_space_group_name_Hall '-I 2b 2'
_cell_length_a 7.591
_cell_length_b 11.284
_cell_length_c 6.651
_cell_angle_alpha 90.00
_cell_angle_beta 90.00
_cell_angle_gamma 90.00
loop_
_atom_site_label
_atom_site_type_symbol
_atom_site_fract_x
_atom_site_fract_y
_atom_site_fract_z
_atom_site_occupancy
Sb1 Sb 0.250 0.037 0.250 1
Sb2 Sb 0.250 0.250 0.750 1
O1 O 0.000 0.081 0.217 1
O2 O 0.000 0.250 0.810 1
O3 O 0.225 0.108 0.558 1
```

Peak list (10 most intense, 2θ = 15–90°, low angle first)
| d_spacing | 2theta | I_rel |
| --- | --- | --- |
| 5.730 | 15.46 | 25 |
| 3.795 | 23.44 | 100 |
| 3.326 | 26.81 | 63 |
| 3.274 | 27.24 | 90 |
| 2.501 | 35.90 | 35 |
| 2.479 | 36.24 | 40 |
| 2.151 | 42.00 | 28 |
| 1.910 | 47.61 | 26 |
| 1.872 | 48.65 | 36 |
| 1.706 | 53.73 | 24 |

=====

Sc4SbO2: calculated powder X-ray diffraction pattern (CuKα), based on a crystal structure in Alexandria, relaxed with PBE.

Atomic structure:
```
data_Sc4SbO2
_chemical_formula_sum 'Sc16 Sb4 O8'
_symmetry_space_group_name_H-M 'C c c m'
_symmetry_Int_Tables_number 66
_symmetry_space_group_name_Hall '-C 2 2c'
_cell_length_a 5.560
_cell_length_b 10.206
_cell_length_c 10.086
_cell_angle_alpha 90.00
_cell_angle_beta 90.00
_cell_angle_gamma 90.00
loop_
_atom_site_label
_atom_site_type_symbol
_atom_site_fract_x
_atom_site_fract_y
_atom_site_fract_z
_atom_site_occupancy
Sc1 Sc 0.236 0.103 0.000 1
Sc2 Sc 0.250 0.250 0.350 1
Sb1 Sb 0.000 0.000 0.250 1
O1 O 0.001 0.261 0.500 1
```

Peak list (10 most intense, 2θ = 15–90°, low angle first)
| d_spacing | 2theta | I_rel |
| --- | --- | --- |
| 4.882 | 18.17 | 100 |
| 3.587 | 24.82 | 32 |
| 3.508 | 25.39 | 79 |
| 2.789 | 32.10 | 59 |
| 2.769 | 32.33 | 60 |
| 2.517 | 35.67 | 49 |
| 2.277 | 39.59 | 32 |
| 2.261 | 39.88 | 29 |
| 2.197 | 41.08 | 65 |
| 1.507 | 61.53 | 38 |

=====

Sc3SbO3: calculated powder X-ray diffraction pattern (CuKα), based on a crystal structure in Alexandria, relaxed with PBE.

Atomic structure:
```
data_Sc3SbO3
_chemical_formula_sum 'Sc18 Sb6 O18'
_symmetry_space_group_name_H-M 'R -3'
_symmetry_Int_Tables_number 148
_symmetry_space_group_name_Hall '-R 3'
_cell_length_a 6.1867
_cell_length_b 6.1867
_cell_length_c 21.3055
_cell_angle_alpha 90.00
_cell_angle_beta 90.00
_cell_angle_gamma 120.00
loop_
_atom_site_label
_atom_site_type_symbol
_atom_site_fract_x
_atom_site_fract_y
_atom_site_fract_z
_atom_site_occupancy
Sc1 Sc 0.0043 0.3549 0.3953 1
Sb1 Sb 0.0000 0.0000 0.1669 1
O1 O 0.0085 0.3165 0.6262 1
```

Peak list (10 most intense, 2θ = 15–90°, low angle first)
| d_spacing | 2theta | I_rel |
| --- | --- | --- |
| 5.196 | 17.06 | 29 |
| 4.786 | 18.54 | 23 |
| 2.836 | 31.55 | 100 |
| 2.367 | 38.01 | 23 |
| 2.332 | 38.60 | 50 |
| 1.786 | 51.15 | 31 |
| 1.540 | 60.09 | 15 |
| 1.511 | 61.34 | 13 |
| 1.426 | 65.47 | 23 |
| 1.154 | 83.86 | 10 |

=====

ScTaSbO6: calculated powder X-ray diffraction pattern (CuKα), based on a crystal structure in Alexandria, relaxed with PBE.

Atomic structure:
```
data_ScTaSbO6
_chemical_formula_sum 'Sc2 Ta2 Sb2 O12'
_symmetry_space_group_name_H-M 'P 42 n m'
_symmetry_Int_Tables_number 102
_symmetry_space_group_name_Hall 'P 4n -2n'
_cell_length_a 4.835
_cell_length_b 4.835
_cell_length_c 9.670
_cell_angle_alpha 90.00
_cell_angle_beta 90.00
_cell_angle_gamma 90.00
loop_
_atom_site_label
_atom_site_type_symbol
_atom_site_fract_x
_atom_site_fract_y
_atom_site_fract_z
_atom_site_occupancy
Sc1 Sc 0.000 0.000 0.000 1
Ta1 Ta 0.000 0.000 0.333 1
Sb1 Sb 0.000 0.000 0.668 1
O1 O 0.191 0.191 0.171 1
O2 O 0.191 0.191 0.489 1
O3 O 0.204 0.204 0.831 1
```

Peak list (10 most intense, 2θ = 15–90°, low angle first)
| d_spacing | 2theta | I_rel |
| --- | --- | --- |
| 4.325 | 20.54 | 37 |
| 3.419 | 26.06 | 100 |
| 2.682 | 33.41 | 79 |
| 2.418 | 37.19 | 24 |
| 1.796 | 50.85 | 70 |
| 1.709 | 53.61 | 19 |
| 1.529 | 60.56 | 15 |
| 1.458 | 63.85 | 19 |
| 1.442 | 64.66 | 24 |
| 1.238 | 77.02 | 14 |

=====

Si3Sb2O9: calculated powder X-ray diffraction pattern (CuKα), based on a crystal structure in Alexandria, relaxed with PBE.

Atomic structure:
```
data_Si3Sb2O9
_chemical_formula_sum 'Si6 Sb4 O18'
_symmetry_space_group_name_H-M 'P 63/m'
_symmetry_Int_Tables_number 176
_symmetry_space_group_name_Hall '-P 6c'
_cell_length_a 6.9855
_cell_length_b 6.9855
_cell_length_c 9.5950
_cell_angle_alpha 90.00
_cell_angle_beta 90.00
_cell_angle_gamma 120.00
loop_
_atom_site_label
_atom_site_type_symbol
_atom_site_fract_x
_atom_site_fract_y
_atom_site_fract_z
_atom_site_occupancy
Si1 Si 0.0731 0.2777 0.2500 1
Sb1 Sb 0.3333 0.6667 0.5059 1
O1 O 0.0642 0.2452 0.7500 1
O2 O 0.0976 0.4192 0.1092 1
```

Peak list (10 most intense, 2θ = 15–90°, low angle first)
| d_spacing | 2theta | I_rel |
| --- | --- | --- |
| 3.759 | 23.67 | 93 |
| 3.493 | 25.50 | 36 |
| 3.025 | 29.53 | 22 |
| 2.824 | 31.69 | 100 |
| 2.287 | 39.41 | 19 |
| 2.017 | 44.95 | 16 |
| 1.977 | 45.89 | 26 |
| 1.859 | 49.00 | 30 |
| 1.655 | 55.52 | 17 |
| 1.157 | 83.58 | 14 |

=====

Si4SbO10: calculated powder X-ray diffraction pattern (CuKα), based on a crystal structure in Alexandria, relaxed with PBE.

Atomic structure:
```
data_Si4SbO10
_chemical_formula_sum 'Si16 Sb4 O40'
_symmetry_space_group_name_H-M 'P 4/n c c'
_symmetry_Int_Tables_number 130
_cell_length_a 7.416
_cell_length_b 7.416
_cell_length_c 16.656
_cell_angle_alpha 90.00
_cell_angle_beta 90.00
_cell_angle_gamma 90.00
loop_
_symmetry_equiv_pos_as_xyz
'x,y,z'
'-x,-y,-z'
'-y+1/2,x,z'
'y+1/2,-x,-z'
'-x+1/2,-y+1/2,z'
'x+1/2,y+1/2,-z'
'y,-x+1/2,z'
'-y,x+1/2,-z'
'x+1/2,-y,-z+1/2'
'-x+1/2,y,z+1/2'
'-y,-x,-z+1/2'
'y,x,z+1/2'
'-x,y+1/2,-z+1/2'
'x,-y+1/2,z+1/2'
'y+1/2,x+1/2,-z+1/2'
'-y+1/2,-x+1/2,z+1/2'
loop_
_atom_site_label
_atom_site_type_symbol
_atom_site_fract_x
_atom_site_fract_y
_atom_site_fract_z
_atom_site_occupancy
Si1 Si 0.006 0.077 0.156 1
Sb1 Sb 0.250 0.250 0.435 1
O1 O 0.001 0.208 0.637 1
O2 O 0.014 0.149 0.400 1
O3 O 0.042 0.542 0.250 1
```

Peak list (10 most intense, 2θ = 15–90°, low angle first)
| d_spacing | 2theta | I_rel |
| --- | --- | --- |
| 5.538 | 16.00 | 28 |
| 5.244 | 16.91 | 66 |
| 4.437 | 20.01 | 42 |
| 4.164 | 21.34 | 42 |
| 3.631 | 24.52 | 100 |
| 3.387 | 26.31 | 58 |
| 3.081 | 28.98 | 66 |
| 2.597 | 34.54 | 31 |
| 1.844 | 49.42 | 29 |
| 1.651 | 55.66 | 22 |